Starting from a DFT-relaxed cell (GGA-PBE, the Materials Project), the X-ray diffraction stick pattern of ThB2Os2 was calculated for Cu Ka.

Structure:
```
ThB2Os2
1.0
0.0000 4.5625 5.0924
3.3013 0.0000 5.0924
3.3013 4.5625 0.0000
Th B Os
2 4 4
Direct
0.1250 0.1250 0.1250
0.8750 0.8750 0.8750
0.1914 0.5586 0.1914
0.4414 0.8086 0.4414
0.5586 0.1914 0.5586
0.8086 0.4414 0.8086
0.2380 0.2380 0.5120
0.4880 0.4880 0.7620
0.5120 0.5120 0.2380
0.7620 0.7620 0.4880
```

Top 6 peaks for 2θ from 10° to 90°, in order of rising 2θ:
two_theta, I (rel.)
31.2, 100
33.5, 100
39.5, 33
42.2, 48
50.4, 27
58.5, 19

***

Starting from a DFT-relaxed cell (GGA-PBE, the Materials Project), the X-ray diffraction stick pattern of MgZn5 was calculated for Cu Ka.

Structure:
```
MgZn5
1.0
5.2661 -1.4326 0.0000
5.2661 1.4326 0.0000
-1.7292 0.0000 6.3479
Mg Zn
1 5
Direct
0.0000 0.0000 0.0000
0.2772 0.2772 0.0622
0.3327 0.3327 0.6659
0.6150 0.6150 0.7206
0.6718 0.6718 0.3448
0.9461 0.9461 0.3943
```

Top 6 peaks for 2θ from 10° to 90°, in order of rising 2θ:
two_theta, I (rel.)
36.4, 49
39.2, 75
41.3, 100
41.6, 49
41.8, 93
42.7, 44

***

Starting from a DFT-relaxed cell (GGA-PBE, the Materials Project), the X-ray diffraction stick pattern of RbSn2Br5 was calculated for Cu Ka.

Structure:
```
RbSn2Br5
1.0
-4.2695 4.2695 7.6353
4.2695 -4.2695 7.6353
4.2695 4.2695 -7.6353
Rb Sn Br
2 4 10
Direct
0.2500 0.2500 0.0000
0.7500 0.7500 0.0000
0.1792 0.6792 0.8584
0.3208 0.1792 0.5000
0.6792 0.8208 0.5000
0.8208 0.3208 0.1416
0.0000 0.0000 0.0000
0.0296 0.2078 0.5000
0.2079 0.7079 0.1783
0.2921 0.4704 0.5000
0.4704 0.9704 0.1783
0.5000 0.5000 0.0000
0.5296 0.0296 0.8217
0.7079 0.5296 0.5000
0.7921 0.2921 0.8217
0.9704 0.7922 0.5000
```

Top 6 peaks for 2θ from 10° to 90°, in order of rising 2θ:
two_theta, I (rel.)
11.6, 35
29.2, 100
33.2, 52
37.7, 36
47.4, 29
47.6, 20

***

Starting from a DFT-relaxed cell (GGA-PBE, the Materials Project), the X-ray diffraction stick pattern of Sr3Nb was calculated for Cu Ka.

Structure:
```
Sr3Nb
1.0
0.0000 4.2905 4.2905
4.2905 0.0000 4.2905
4.2905 4.2905 0.0000
Sr Nb
3 1
Direct
0.0000 0.0000 0.0000
0.2500 0.2500 0.2500
0.7500 0.7500 0.7500
0.5000 0.5000 0.5000
```

Top 6 peaks for 2θ from 10° to 90°, in order of rising 2θ:
two_theta, I (rel.)
29.4, 100
42.1, 19
52.2, 39
61.1, 12
69.3, 17
84.5, 20

***

Starting from a DFT-relaxed cell (GGA-PBE, the Materials Project), the X-ray diffraction stick pattern of TiS2 was calculated for Cu Ka.

Structure:
```
TiS2
1.0
3.5474 2.0481 5.9943
-3.5474 2.0481 5.9943
0.0000 -4.0961 5.9943
Ti S
4 8
Direct
0.0000 0.0000 0.0000
0.1553 0.6128 0.6128
0.6128 0.1553 0.6128
0.6128 0.6128 0.1553
0.3678 0.3678 0.8492
0.3678 0.8492 0.3678
0.3766 0.3766 0.3766
0.3885 0.8669 0.8669
0.8492 0.3678 0.3678
0.8636 0.8636 0.8636
0.8669 0.3885 0.8669
0.8669 0.8669 0.3885
```

Top 6 peaks for 2θ from 10° to 90°, in order of rising 2θ:
two_theta, I (rel.)
14.8, 56
17.5, 36
29.5, 37
35.4, 100
50.3, 49
51.5, 48

***

Starting from a DFT-relaxed cell (GGA-PBE, the Materials Project), the X-ray diffraction stick pattern of CaTi2F10 was calculated for Cu Ka.

Structure:
```
CaTi2F10
1.0
4.5583 -3.3128 0.0000
4.5583 3.3128 0.0000
-3.3675 0.0000 7.0305
Ca Ti F
1 2 10
Direct
0.0000 0.0000 0.0000
0.5340 0.4528 0.7434
0.5472 0.4660 0.2566
0.2593 0.7193 0.8082
0.2807 0.7407 0.1918
0.2947 0.2535 0.1357
0.3336 0.2190 0.6324
0.4886 0.5114 0.5000
0.6109 0.3891 0.0000
0.7465 0.7053 0.8643
0.7810 0.6664 0.3676
0.8054 0.1644 0.2582
0.8356 0.1946 0.7418
```

Top 6 peaks for 2θ from 10° to 90°, in order of rising 2θ:
two_theta, I (rel.)
17.2, 91
21.6, 99
25.3, 35
26.5, 100
26.9, 46
44.1, 39

***

Starting from a DFT-relaxed cell (GGA-PBE, the Materials Project), the X-ray diffraction stick pattern of KS was calculated for Cu Ka.

Structure:
```
KS
1.0
3.3858 0.0000 0.0000
0.0000 3.3858 0.0000
0.0000 0.0000 4.4394
K S
1 1
Direct
0.0000 0.0000 0.0000
0.5000 0.5000 0.5000
```

Top 6 peaks for 2θ from 10° to 90°, in order of rising 2θ:
two_theta, I (rel.)
33.3, 100
37.6, 34
40.6, 13
54.2, 10
56.5, 18
65.1, 23

***

Starting from a DFT-relaxed cell (GGA-PBE, the Materials Project), the X-ray diffraction stick pattern of FeWCl5 was calculated for Cu Ka.

Structure:
```
FeWCl5
1.0
3.1261 -8.4002 0.0000
3.1261 8.4002 0.0000
-2.0240 0.0000 12.6184
Fe W Cl
4 4 20
Direct
0.0511 0.9489 0.7500
0.3391 0.6609 0.2500
0.6609 0.3391 0.7500
0.9489 0.0511 0.2500
0.2765 0.7235 0.7500
0.4321 0.5679 0.7500
0.5679 0.4321 0.2500
0.7235 0.2765 0.2500
0.0386 0.7126 0.8577
0.0940 0.6045 0.3597
0.0980 0.1932 0.6423
0.1932 0.0980 0.1423
0.2330 0.5246 0.8843
0.2874 0.9614 0.6423
0.3314 0.4247 0.3564
0.3955 0.9060 0.1403
0.4247 0.3314 0.8564
0.4754 0.7670 0.6157
0.5246 0.2330 0.3843
0.5753 0.6686 0.1436
0.6045 0.0940 0.8597
0.6686 0.5753 0.6436
0.7126 0.0386 0.3577
0.7670 0.4754 0.1157
0.8068 0.9020 0.8577
0.9020 0.8068 0.3577
0.9060 0.3955 0.6403
0.9614 0.2874 0.1423
```

Top 6 peaks for 2θ from 10° to 90°, in order of rising 2θ:
two_theta, I (rel.)
14.0, 100
15.3, 18
15.9, 27
17.8, 21
34.3, 28
35.8, 37

***

Starting from a DFT-relaxed cell (GGA-PBE, the Materials Project), the X-ray diffraction stick pattern of NbCr3Cu2S8 was calculated for Cu Ka.

Structure:
```
NbCr3Cu2S8
1.0
6.2991 0.0000 0.0000
-0.0318 7.2908 0.0000
-0.9692 -1.6512 12.2673
Nb Cr Cu S
2 6 4 16
Direct
0.0000 0.0000 0.0000
0.3478 0.5891 0.2990
0.2959 0.4028 0.5921
0.5059 0.2622 0.0083
0.5075 0.7461 0.0061
0.7660 0.6472 0.5890
0.7719 0.1513 0.5831
0.9028 0.8187 0.3006
0.0289 0.5023 0.9992
0.2675 0.9061 0.5960
0.4082 0.0770 0.3021
0.8917 0.3297 0.2979
0.0266 0.5515 0.1864
0.0417 0.0446 0.1903
0.2412 0.8621 0.4074
0.2585 0.3489 0.4096
0.3368 0.9870 0.9275
0.3445 0.4826 0.9233
0.4542 0.6715 0.6644
0.4607 0.1664 0.6595
0.5352 0.3086 0.1922
0.5600 0.7953 0.1946
0.7388 0.6031 0.4039
0.7584 0.0929 0.4009
0.8261 0.2460 0.9299
0.8288 0.7255 0.9263
0.9351 0.9162 0.6537
0.9621 0.4152 0.6546
```

Top 6 peaks for 2θ from 10° to 90°, in order of rising 2θ:
two_theta, I (rel.)
21.7, 100
28.5, 34
28.7, 46
34.6, 52
50.0, 53
51.4, 46

***

Repeat the eighth record exactly.
Starting from a DFT-relaxed cell (GGA-PBE, the Materials Project), the X-ray diffraction stick pattern of FeWCl5 was calculated for Cu Ka.

Structure:
```
FeWCl5
1.0
3.1261 -8.4002 0.0000
3.1261 8.4002 0.0000
-2.0240 0.0000 12.6184
Fe W Cl
4 4 20
Direct
0.0511 0.9489 0.7500
0.3391 0.6609 0.2500
0.6609 0.3391 0.7500
0.9489 0.0511 0.2500
0.2765 0.7235 0.7500
0.4321 0.5679 0.7500
0.5679 0.4321 0.2500
0.7235 0.2765 0.2500
0.0386 0.7126 0.8577
0.0940 0.6045 0.3597
0.0980 0.1932 0.6423
0.1932 0.0980 0.1423
0.2330 0.5246 0.8843
0.2874 0.9614 0.6423
0.3314 0.4247 0.3564
0.3955 0.9060 0.1403
0.4247 0.3314 0.8564
0.4754 0.7670 0.6157
0.5246 0.2330 0.3843
0.5753 0.6686 0.1436
0.6045 0.0940 0.8597
0.6686 0.5753 0.6436
0.7126 0.0386 0.3577
0.7670 0.4754 0.1157
0.8068 0.9020 0.8577
0.9020 0.8068 0.3577
0.9060 0.3955 0.6403
0.9614 0.2874 0.1423
```

Top 6 peaks for 2θ from 10° to 90°, in order of rising 2θ:
two_theta, I (rel.)
14.0, 100
15.3, 18
15.9, 27
17.8, 21
34.3, 28
35.8, 37